Theoretical X-ray diffraction stick pattern
Compound: Zn2Ag
Radiation: λ = 1.5418 Å (Cu Kα)
Structure: a cell relaxed with PBE

Crystal structure
a = 3.921 Å, b = 3.921 Å, c = 24.596 Å
α = 90.00°, β = 90.00°, γ = 90.00°
Space group I4_1/amd (No. 141, origin choice 2)
Asymmetric unit:
Zn: 0.000 0.250 0.125
Zn: 0.000 0.250 0.293
Ag: 0.000 0.250 0.794

Top 10 peaks for 5 to 70 degrees two-theta, by angle:
2θ/deg, d/Å, I_rel
22.97, 3.872, 4.1
29.09, 3.069, 3.0
33.12, 2.705, 1.5
34.27, 2.617, 1.7
39.23, 2.297, 100.0
44.19, 2.050, 17.4
46.31, 1.960, 30.7
55.62, 1.652, 1.2
65.93, 1.417, 19.7
67.57, 1.386, 9.3